Structure and computed powder XRD pattern of Tm2PtO4 (a structure optimized by DFT (GGA-PBE); CuKα).
Intensities are scaled so that the largest is 1000.

Unit cell a=9.3549 b=9.3549 c=9.3549 alpha=90.00 beta=90.00 gamma=90.00
Space group Fd-3m (No. 227, origin choice 2)
Asymmetric unit:
1 Tm 0.0000 0.0000 0.0000 (multiplicity 16)
2 Pt 0.1250 0.1250 0.6250 (multiplicity 8)
3 O 0.0130 0.0130 0.2370 (multiplicity 32)

The 10 most intense peaks (2θ from 10° to 80°), in order of falling intensity:
- 2θ = 31.72°, d 2.821, intensity 1000
- 2θ = 50.71°, d 1.800, intensity 388
- 2θ = 55.57°, d 1.654, intensity 383
- 2θ = 26.96°, d 3.307, intensity 313
- 2θ = 33.17°, d 2.701, intensity 240
- 2θ = 78.54°, d 1.218, intensity 225
- 2θ = 47.62°, d 1.910, intensity 132
- 2θ = 65.42°, d 1.427, intensity 129
- 2θ = 66.27°, d 1.410, intensity 116
- 2θ = 76.15°, d 1.250, intensity 70